# Cs2ZnHI6
Calculated X-ray diffraction stick pattern, Cu Kα. Input: a crystal structure in Alexandria, relaxed with PBE.
Peak positions follow from Bragg's law for the DFT cell and can differ from measured ones.

Crystal structure
Lattice parameters (Å, degrees): 8.4867 8.4867 8.4867 124.65 124.65 82.11
Element x y z (fractional)
1 Cs 0.2500 0.7500 0.5000
2 Cs 0.7500 0.2500 0.5000
3 Zn 0.0000 0.0000 0.0000
4 H 0.5000 0.5000 0.0000
5 I 0.2067 0.2067 0.0000
6 I 0.2741 0.2741 0.5482
7 I 0.2741 0.7259 0.0000
8 I 0.7259 0.2741 0.0000
9 I 0.7259 0.7259 0.4518
10 I 0.7933 0.7933 0.0000

Most intense lines, 10° ≤ 2θ ≤ 90°, low angle first:
2θ (°)	I (rel.)
26.2	12
26.6	100
27.9	26
32.1	43
34.9	8
43.0	28
43.7	10
46.1	14
48.5	10
54.0	22
54.7	13
76.4	7